For Eu2CoTe2S2O14, a crystal structure in Alexandria, relaxed with GGA+U gives the theoretical powder X-ray diffraction pattern in this record (λ = 1.5418 Å (Cu Kα)).
Intensities are scaled so that the largest is 1000.

Main lines, most intense first (2θ = 5–70°):
hkl 0 2 0, 24.65°, d = 3.612 Å, rel. 1000
hkl 1 1 2, 24.03°, d = 3.703 Å, rel. 889
hkl 1 3 2, 37.46°, d = 2.401 Å, rel. 582
hkl -1 1 1, 23.74°, d = 3.749 Å, rel. 522
hkl 0 1 1, 13.21°, d = 6.702 Å, rel. 520
hkl -1 2 1, 29.14°, d = 3.065 Å, rel. 490
hkl 1 -1 2, 31.71°, d = 2.821 Å, rel. 473
hkl 0 1 2, 22.45°, d = 3.959 Å, rel. 425
hkl 1 1 -1, 30.37°, d = 2.943 Å, rel. 398
hkl 2 1 3, 40.64°, d = 2.220 Å, rel. 388

Structure:
Cell: 5.4470 7.9676 8.3346 Å, 65.87 72.30 88.44°
Fractional coordinates of all 21 atoms:
Eu1 0.1191 0.2543 0.0124
Eu2 0.8809 0.7457 0.9876
Co1 0.0000 0.0000 0.5000
Te1 0.4615 0.7398 0.6451
Te2 0.5385 0.2602 0.3549
S1 0.1926 0.7519 0.2535
S2 0.8074 0.2481 0.7465
O1 0.0041 0.3901 0.7189
O2 0.1290 0.7916 0.4221
O3 0.1866 0.9222 0.0866
O4 0.2464 0.9372 0.6489
O5 0.2511 0.5863 0.8880
O6 0.2728 0.1787 0.2845
O7 0.4543 0.6892 0.2239
O8 0.5457 0.3108 0.7761
O9 0.7272 0.8213 0.7155
O10 0.7489 0.4137 0.1120
O11 0.7536 0.0628 0.3511
O12 0.8134 0.0778 0.9134
O13 0.8710 0.2084 0.5779
O14 0.9959 0.6099 0.2811